Computed X-ray powder pattern
Compound: Sr4Mn2Cu3S4O4
Radiation: a wavelength of 1.5418 Å
Structure: a structure optimized by DFT (GGA+U)
Neutral-atom scattering factors, no anomalous dispersion.

Structural model:
```
17
Lattice="2.8627 -8.6129 0.0000 2.8627 8.6129 0.0000 0.0000 0.0000 5.7251" Properties=species:S:1:pos:R:3 pbc="T T T"
Sr 1.4213 2.5771 1.4184
Sr 1.4213 -2.5771 4.3067
Sr 4.3040 2.5771 4.3067
Sr 4.3040 -2.5771 1.4184
Mn 1.4313 4.3065 4.2834
Mn 1.4313 -4.3065 1.4417
Cu 0.0000 0.0000 2.8625
Cu 2.8627 0.0000 0.0000
Cu 2.8627 0.0000 2.8625
S 1.4546 1.3402 4.2715
S 1.4546 -1.3402 1.4536
S 4.2707 1.3402 1.4536
S 4.2707 -1.3402 4.2715
O 2.8627 4.3341 2.8625
O 2.8627 4.3076 0.0000
O 2.8627 -4.3076 0.0000
O 2.8627 -4.3341 2.8625
```

Principal peaks in the range 10 to 90 degrees two-theta, sorted by position:
2θ 22.6, 3.941 Å, I = 15; 2θ 31.2, 2.864 Å, I = 25; 2θ 33.0, 2.716 Å, I = 29; 2θ 34.2, 2.624 Å, I = 100; 2θ 37.7, 2.384 Å, I = 61; 2θ 44.8, 2.024 Å, I = 57; 2θ 57.5, 1.603 Å, I = 42; 2θ 63.0, 1.476 Å, I = 26; 2θ 65.2, 1.431 Å, I = 17; 2θ 77.8, 1.227 Å, I = 13

Computed X-ray powder pattern
Compound: LiMn3B3O9
Radiation: a wavelength of 1.5418 Å
Structure: a structure optimized by DFT (GGA+U)
Neutral-atom scattering factors, no anomalous dispersion.

Structural model:
```
32
Lattice="6.1853 0.0000 0.0000 -1.0166 7.6534 0.0000 -2.7459 -3.6595 7.8166" Properties=species:S:1:pos:R:3 pbc="T T T"
Li 0.0000 0.0000 0.0000
Li -0.1380 0.0789 5.2286
Mn -1.0938 3.8355 1.6373
Mn 1.4778 2.9634 0.1482
Mn -1.0360 4.1047 6.8862
Mn 1.4176 2.9782 5.0928
Mn 2.5604 0.1186 4.2788
Mn 5.0136 -1.0046 2.6422
B -2.8257 1.6350 6.9411
B 0.3474 1.5121 2.6012
B -0.1780 5.3104 4.3053
B 0.4644 1.6573 7.7209
B 3.5027 1.4402 1.7831
B 4.0650 -2.1811 5.2753
O -2.8864 0.3826 7.6269
O -1.8234 -2.2619 6.6243
O -0.0772 0.4476 1.8641
O -2.3510 2.7130 7.5714
O -0.7409 5.3925 3.0263
O 0.5371 2.7532 1.9410
O -0.1903 4.0441 4.9062
O 0.7318 1.4070 3.9281
O -0.1807 0.6579 7.0398
O 1.2413 -1.2524 4.9876
O 2.8881 1.6412 0.5511
O 0.7343 2.8947 7.1486
O 3.4351 0.1466 2.3327
O 3.6603 5.1078 1.2115
O 2.5103 4.4526 4.5620
O 2.8057 1.6669 5.6558
O 4.0855 2.4438 2.4833
O 4.4119 -0.9895 4.5899
```

Principal peaks in the range 10 to 90 degrees two-theta, sorted by position:
2θ 19.7, 4.504 Å, I = 100; 2θ 20.4, 4.351 Å, I = 35; 2θ 20.8, 4.265 Å, I = 30; 2θ 22.2, 4.006 Å, I = 73; 2θ 22.6, 3.936 Å, I = 89; 2θ 33.8, 2.655 Å, I = 46; 2θ 35.0, 2.562 Å, I = 83; 2θ 37.1, 2.423 Å, I = 31; 2θ 40.0, 2.254 Å, I = 50; 2θ 53.8, 1.703 Å, I = 35

Computed X-ray powder pattern
Compound: LiTiMn3O8
Radiation: a wavelength of 1.5418 Å
Structure: a structure optimized by DFT (GGA+U)
Neutral-atom scattering factors, no anomalous dispersion.

Structural model:
```
39
Lattice="5.9698 0.0000 0.0000 -2.9512 5.2779 0.0000 -0.3929 -0.2502 14.4287" Properties=species:S:1:pos:R:3 pbc="T T T"
Li 0.0000 0.0000 0.0000
Li -0.1345 1.6980 4.8281
Li 2.7601 3.3297 9.6007
Ti -1.4756 2.6389 0.0000
Ti 1.2509 0.6223 9.6381
Ti 1.3747 4.4054 4.7907
Mn -0.1965 -0.1251 7.2144
Mn -1.6213 4.2788 4.8319
Mn -0.3213 1.6065 11.9978
Mn -0.0360 3.5649 2.3720
Mn 2.7884 -0.1251 7.2144
Mn 1.5093 2.6389 0.0000
Mn 2.6616 1.4628 12.0568
Mn 2.9469 3.4212 2.4309
Mn 4.2470 0.7489 9.5968
O -1.6473 2.7895 3.6552
O -0.3106 0.0661 10.7485
O -1.5843 4.1246 1.2953
O -0.2455 1.3576 8.4785
O -1.8848 4.4246 8.4648
O 0.0291 2.0184 1.0925
O 1.2779 0.5024 6.1053
O -0.3447 3.0622 13.2936
O 0.9415 0.8723 13.2584
O -0.1201 3.6561 5.9127
O -0.1471 4.9726 3.7305
O 1.2253 2.1671 10.9349
O 1.4003 2.8606 3.4938
O 2.7728 0.0550 10.6982
O 2.7457 1.3716 8.5160
O 1.6841 4.1554 1.1703
O 2.9703 1.9655 1.1352
O 1.3478 4.5253 8.3234
O 2.5965 3.0093 13.3363
O 4.5105 0.6031 5.9639
O 2.8712 3.6700 5.9502
O 4.2099 0.9031 13.1335
O 2.9362 4.9616 3.6802
O 4.2729 2.2382 10.7735
```

Principal peaks in the range 10 to 90 degrees two-theta, sorted by position:
2θ 17.8, 4.984 Å, I = 100; 2θ 35.0, 2.567 Å, I = 11; 2θ 35.7, 2.514 Å, I = 9; 2θ 35.8, 2.505 Å, I = 10; 2θ 42.1, 2.144 Å, I = 17; 2θ 42.8, 2.112 Å, I = 16; 2θ 43.3, 2.089 Å, I = 16; 2θ 55.4, 1.658 Å, I = 5; 2θ 56.0, 1.643 Å, I = 5; 2θ 62.3, 1.491 Å, I = 9

Computed X-ray powder pattern
Compound: NaSrInWO6
Radiation: a wavelength of 1.5418 Å
Structure: a structure optimized by DFT (GGA+U)
Neutral-atom scattering factors, no anomalous dispersion.

Structural model:
```
10
Lattice="0.0000 4.0844 4.0844 4.0844 0.0000 4.0844 4.0844 4.0844 0.0000" Properties=species:S:1:pos:R:3 pbc="T T T"
Na 0.0000 0.0000 0.0000
Sr 4.0844 4.0844 4.0844
In 6.1266 6.1266 6.1266
W 2.0422 2.0422 2.0422
O 2.0422 2.0422 0.1002
O 2.0422 0.1002 2.0422
O 3.9842 2.0422 2.0422
O 0.1002 2.0422 2.0422
O 2.0422 3.9842 2.0422
O 2.0422 2.0422 3.9842
```

Principal peaks in the range 10 to 90 degrees two-theta, sorted by position:
2θ 18.8, 4.716 Å, I = 14; 2θ 21.8, 4.084 Å, I = 41; 2θ 31.0, 2.888 Å, I = 100; 2θ 44.4, 2.042 Å, I = 33; 2θ 49.9, 1.827 Å, I = 17; 2θ 55.1, 1.667 Å, I = 40; 2θ 64.5, 1.444 Å, I = 20; 2θ 69.0, 1.361 Å, I = 8; 2θ 73.3, 1.292 Å, I = 17; 2θ 89.9, 1.092 Å, I = 22

Computed X-ray powder pattern
Compound: Nd4Mn3NiO12
Radiation: a wavelength of 1.5418 Å
Structure: a structure optimized by DFT (GGA+U)
Neutral-atom scattering factors, no anomalous dispersion.

Structural model:
```
20
Lattice="5.4628 0.0000 0.0000 0.0562 5.6679 0.0000 0.0505 0.0251 7.8096" Properties=species:S:1:pos:R:3 pbc="T T T"
Nd 0.1048 2.5318 1.9328
Nd 2.7104 5.3401 1.9214
Nd 2.8591 0.3529 5.8882
Nd 5.4647 3.1613 5.8768
Mn 0.0000 0.0000 0.0000
Mn 0.0252 0.0126 3.9048
Mn 2.7847 2.8465 3.9048
Ni 2.7595 2.8339 0.0000
O 0.5929 5.5471 5.9138
O 1.1179 4.0554 0.3658
O 1.1959 3.9887 3.5264
O 1.5780 1.1152 3.5177
O 1.5694 1.1283 0.3469
O 2.3234 2.7258 5.8054
O 3.2460 2.9672 2.0042
O 4.0001 4.5647 7.4627
O 3.9914 4.5778 4.2919
O 4.3736 1.7043 4.2832
O 4.4516 1.6376 7.4438
O 4.9766 0.1459 1.8958
```

Principal peaks in the range 10 to 90 degrees two-theta, sorted by position:
2θ 22.8, 3.909 Å, I = 24; 2θ 31.6, 2.834 Å, I = 27; 2θ 32.1, 2.788 Å, I = 33; 2θ 32.4, 2.766 Å, I = 100; 2θ 32.8, 2.731 Å, I = 33; 2θ 45.9, 1.976 Å, I = 14; 2θ 46.4, 1.957 Å, I = 15; 2θ 46.5, 1.952 Å, I = 20; 2θ 57.9, 1.593 Å, I = 14; 2θ 58.3, 1.584 Å, I = 22

Computed X-ray powder pattern
Compound: BaLa3Mn4O12
Radiation: a wavelength of 1.5418 Å
Structure: a structure optimized by DFT (GGA+U)
Neutral-atom scattering factors, no anomalous dispersion.

Structural model:
```
20
Lattice="5.5886 0.0000 0.0000 0.0155 5.6406 0.0000 0.0926 0.0009 7.9122" Properties=species:S:1:pos:R:3 pbc="T T T"
Ba 0.0000 0.0000 0.0000
La 5.6496 5.6218 3.9559
La 2.8481 2.7700 3.9563
La 2.8956 2.8036 7.9119
Mn 0.0312 2.8034 1.9920
Mn 5.6639 2.8024 5.9185
Mn 2.8315 5.6221 1.9929
Mn 2.8803 5.6232 5.9191
O 5.6399 2.4554 3.9560
O 5.6884 2.9786 7.9113
O 1.3476 4.3384 5.6063
O 1.3450 1.3130 1.8926
O 1.5706 4.0715 2.2359
O 1.6768 1.6030 6.0982
O 2.8417 0.2989 3.9565
O 2.9011 5.2500 7.9110
O 4.0142 1.6060 1.8139
O 4.1293 4.0747 5.6750
O 4.3431 1.3169 6.0185
O 4.3548 4.3408 2.3037
```

Principal peaks in the range 10 to 90 degrees two-theta, sorted by position:
2θ 22.4, 3.970 Å, I = 20; 2θ 31.8, 2.816 Å, I = 98; 2θ 32.1, 2.792 Å, I = 100; 2θ 39.2, 2.296 Å, I = 27; 2θ 45.6, 1.988 Å, I = 21; 2θ 45.8, 1.982 Å, I = 21; 2θ 45.9, 1.978 Å, I = 20; 2θ 56.6, 1.627 Å, I = 15; 2θ 56.7, 1.623 Å, I = 27; 2θ 56.8, 1.620 Å, I = 20

Computed X-ray powder pattern
Compound: KGaCoC4Cl3O4
Radiation: a wavelength of 1.5418 Å
Structure: a structure optimized by DFT (GGA+U)
Neutral-atom scattering factors, no anomalous dispersion.

Structural model:
```
56
Lattice="12.2039 0.0000 0.0000 0.0000 9.2460 0.0000 -3.5216 0.0000 11.2866" Properties=species:S:1:pos:R:3 pbc="T T T"
K 0.1003 1.7205 4.7137
K -1.6605 2.9025 10.3570
K 10.3428 6.3435 0.9296
K 8.5819 7.5255 6.5729
Ga 1.6554 5.1423 2.7618
Ga -0.1054 8.7267 8.4051
Ga 8.7876 0.5193 2.8815
Ga 7.0268 4.1037 8.5248
Co 3.2600 6.3414 4.1063
Co 1.4992 7.5276 9.7496
Co 7.1831 1.7184 1.5370
Co 5.4223 2.9046 7.1803
C 0.5905 6.0677 9.3401
C 2.3513 7.8012 3.6968
C 2.4989 5.3824 5.3771
C 0.7381 8.4866 11.0204
C 4.3342 5.6575 2.8857
C 2.5733 8.2114 8.5290
C 4.1149 2.1889 6.2396
C 5.8757 2.4341 0.5963
C 2.8065 6.8119 10.6904
C 4.5674 7.0571 5.0471
C 6.1089 1.0345 2.7576
C 4.3481 3.5884 8.4009
C 7.9441 0.7594 0.2662
C 6.1833 3.8636 5.9095
C 6.3309 1.4447 7.5898
C 8.0917 3.1783 1.9465
Cl -0.4276 5.0155 3.6003
Cl -2.1884 8.8535 9.2436
Cl 1.3726 5.9468 0.6830
Cl -0.3882 7.9221 6.3263
Cl 0.3996 1.6575 8.0580
Cl 2.1604 2.9655 2.4147
Cl 6.5218 6.2805 8.8719
Cl 8.2826 7.5885 3.2286
Cl 9.0705 1.3238 4.9603
Cl 7.3096 3.2991 10.6036
Cl 10.8706 0.3925 2.0430
Cl 9.1098 4.2305 7.6863
O 0.0264 5.0731 9.1415
O 1.7872 8.7959 3.4982
O 2.0103 4.7884 6.2477
O 3.7711 9.0806 0.6044
O 3.2211 1.7519 5.6474
O 4.9819 2.8711 0.0041
O 5.1008 5.2535 2.1133
O 3.3400 8.6155 7.7567
O 5.3422 0.6305 3.5300
O 3.5814 3.9925 9.1733
O 3.7003 6.3749 11.2825
O 5.4611 7.4941 5.6392
O 4.9111 0.1654 10.6822
O 6.6719 4.4576 5.0389
O 6.8950 0.4501 7.7885
O 8.6558 4.1729 2.1452
```

Principal peaks in the range 10 to 90 degrees two-theta, sorted by position:
2θ 12.2, 7.242 Å, I = 21; 2θ 13.2, 6.684 Å, I = 100; 2θ 15.2, 5.814 Å, I = 33; 2θ 15.7, 5.641 Å, I = 41; 2θ 18.0, 4.918 Å, I = 45; 2θ 18.4, 4.832 Å, I = 29; 2θ 20.7, 4.282 Å, I = 37; 2θ 30.0, 2.976 Å, I = 44; 2θ 30.6, 2.919 Å, I = 18; 2θ 33.1, 2.703 Å, I = 23

Computed X-ray powder pattern
Compound: LiCo5O7F
Radiation: a wavelength of 1.5418 Å
Structure: a structure optimized by DFT (GGA+U)
Neutral-atom scattering factors, no anomalous dispersion.

Structural model:
```
28
Lattice="5.7984 0.0000 0.0000 -2.7831 5.0868 0.0000 -2.7473 -1.7911 9.6200" Properties=species:S:1:pos:R:3 pbc="T T T"
Li 0.0000 0.0000 0.0000
Li -2.7802 1.6778 4.8450
Co -1.1840 4.1489 2.9459
Co 0.2585 1.5959 2.9222
Co 0.2506 3.2860 0.5475
Co -1.1211 0.6860 7.7927
Co 0.3029 -0.1518 5.3761
Co -2.4251 3.2195 7.7445
Co 3.1674 1.5561 1.1121
Co 0.4723 3.1819 5.9389
Co 1.7477 4.1106 2.9257
Co 1.8283 0.6170 7.7464
O -0.0052 0.0073 1.9432
O -2.6310 3.5337 4.0791
O -2.5704 0.0576 8.9096
O -2.5895 1.5588 6.8334
O -1.0434 2.5520 1.8153
O -0.9609 -0.9272 6.6437
O 1.4650 0.6460 4.0740
O -1.2720 2.2553 8.9140
O 1.5787 2.5031 1.6319
O 3.0610 -0.3169 1.8121
O 0.3707 -0.2008 8.7551
O 0.3730 1.3260 6.6487
O 1.7303 -0.9998 6.5476
O 0.4344 3.1964 3.9718
F -1.2891 0.7878 4.2311
F -3.9532 2.3561 9.1441
```

Principal peaks in the range 10 to 90 degrees two-theta, sorted by position:
2θ 18.4, 4.813 Å, I = 100; 2θ 19.0, 4.681 Å, I = 37; 2θ 35.6, 2.520 Å, I = 57; 2θ 35.9, 2.501 Å, I = 98; 2θ 36.5, 2.463 Å, I = 45; 2θ 37.4, 2.406 Å, I = 32; 2θ 43.7, 2.071 Å, I = 64; 2θ 43.8, 2.066 Å, I = 32; 2θ 62.8, 1.479 Å, I = 55; 2θ 64.3, 1.449 Å, I = 33